Entry 1:
The following is a calculated powder X-ray diffraction pattern of AgHgTe2Cl. It was derived from a cell relaxed with PBE, using CuKα.
Intensities are scaled so that the largest is 100.

Structure:
a = 5.532 Å, b = 5.532 Å, c = 4.947 Å
α = 90.00°, β = 90.00°, γ = 90.00°
Space group P4/mmm (No. 123)
Unique sites:
Ag 0.000 0.000 0.000 x1
Hg 0.500 0.500 0.500 x1
Te 0.000 0.500 0.000 x2
Cl 0.000 0.000 0.500 x1

Largest 8 diffraction maxima, by intensity, 2θ = 10–90°:
Position (°2θ), d_spacing, I_rel, hkl
29.1, 3.068, 100, 1 1 1
32.4, 2.766, 98, 2 0 0
24.1, 3.687, 87, 1 0 1
49.4, 1.844, 59, 2 0 2
40.8, 2.213, 46, 2 1 1
36.3, 2.473, 37, 0 0 2
46.4, 1.956, 35, 2 2 0
55.7, 1.649, 33, 3 1 1

Entry 2:
The following is a calculated powder X-ray diffraction pattern of K8Hg3. It was derived from a cell relaxed with PBE, using CuKα.
Intensities are scaled so that the largest is 100.

Structure:
a = 8.462 Å, b = 8.462 Å, c = 8.462 Å
α = 90.00°, β = 90.00°, γ = 90.00°
Space group Pm-3m (No. 221)
Unique sites:
K 0.247 0.247 0.247 x8
Hg 0.000 0.000 0.500 x3

Largest 8 diffraction maxima, by intensity, 2θ = 10–90°:
Position (°2θ), d_spacing, I_rel, hkl
29.9, 2.992, 100, 2 2 0
18.2, 4.886, 90, 1 1 1
35.2, 2.551, 54, 3 1 1
53.0, 1.727, 38, 4 2 2
10.5, 8.462, 27, 1 0 0
46.8, 1.941, 25, 3 3 1
14.8, 5.984, 23, 1 1 0
86.0, 1.131, 19, 6 4 2

Entry 3:
The following is a calculated powder X-ray diffraction pattern of TbEr2Tm3Sb6. It was derived from a cell relaxed with PBE, using CuKα.
Intensities are scaled so that the largest is 100.

Structure:
a = 18.966 Å, b = 4.351 Å, c = 8.703 Å
α = 90.00°, β = 103.21°, γ = 90.00°
Space group C2/m (No. 12)
Unique sites:
Tb 0.000 0.000 0.000 x2
Er 0.167 0.500 0.333 x4
Tm 0.000 0.000 0.500 x2
Tm 0.166 0.500 0.833 x4
Sb 0.000 0.500 0.253 x4
Sb 0.166 0.000 0.584 x4
Sb 0.168 0.000 0.083 x4

Largest 8 diffraction maxima, by intensity, 2θ = 10–90°:
Position (°2θ), d_spacing, I_rel, hkl
29.0, 3.077, 100, 6 0 0
41.5, 2.176, 76, 5 1 2
68.1, 1.376, 35, 11 1 2
51.4, 1.777, 27, 6 2 0
75.7, 1.256, 26, 12 2 0
60.1, 1.539, 13, 12 0 0
25.1, 3.553, 4, 2 0 2
49.1, 1.856, 2, 10 0 -2

Q: Number 3 is which compound?
A: TbEr2Tm3Sb6